# TbMgSc4
Computed powder X-ray diffraction pattern, CuKα. Input: a structure optimized by DFT (PBE).
No peak broadening, texture or thermal motion is included.

Lattice parameters (Å, degrees): 3.338 3.338 13.663 90.00 90.00 90.00
Space group P4/mmm (No. 123)
Inequivalent atoms, fractional coordinates:
1 Tb 0.000 0.000 0.000 x1
2 Mg 0.500 0.500 0.500 x1
3 Sc 0.000 0.000 0.341 x2
4 Sc 0.500 0.500 0.179 x2

Largest 12 diffraction maxima, sorted by position, 15 to 90 degrees two-theta:
- 19.49 deg, intensity 12.8, (0 0 3)
- 26.71 deg, intensity 11.7, (1 0 0)
- 27.51 deg, intensity 11.3, (1 0 1)
- 29.79 deg, intensity 23.4, (1 0 2)
- 33.28 deg, intensity 100.0, (1 0 3)
- 38.13 deg, intensity 34.6, (1 1 0)
- 39.58 deg, intensity 14.4, (0 0 6)
- 55.03 deg, intensity 11.3, (2 0 0)
- 56.13 deg, intensity 19.8, (1 1 6)
- 65.85 deg, intensity 25.2, (2 1 3)
- 67.81 deg, intensity 10.9, (1 0 9)
- 69.88 deg, intensity 9.9, (2 0 6)

---

# Pd2RhF8
Computed powder X-ray diffraction pattern, CuKα. Input: a structure optimized by DFT (PBE).
No peak broadening, texture or thermal motion is included.

Lattice parameters (Å, degrees): 6.5818 6.5818 4.1855 90.00 90.00 120.00
Space group P-3 (No. 147)
Inequivalent atoms, fractional coordinates:
1 Pd 0.3333 0.6667 0.2914 x2
2 Rh 0.0000 0.0000 0.5000 x1
3 F 0.1438 0.2901 0.2493 x6
4 F 0.3333 0.6667 0.7886 x2

Largest 12 diffraction maxima, sorted by position, 15 to 90 degrees two-theta:
- 21.23 deg, intensity 12.9, (0 0 1)
- 26.42 deg, intensity 71.7, (1 0 1)
- 27.10 deg, intensity 100.0, (1 1 0)
- 34.67 deg, intensity 22.1, (1 1 1)
- 46.21 deg, intensity 18.6, (1 0 2)
- 47.46 deg, intensity 35.7, (2 1 1)
- 47.88 deg, intensity 19.0, (3 0 0)
- 54.39 deg, intensity 20.8, (0 2 2)
- 55.88 deg, intensity 22.7, (2 2 0)
- 61.80 deg, intensity 21.9, (2 1 2)
- 62.84 deg, intensity 10.4, (4 -3 1)
- 76.60 deg, intensity 10.3, (1 4 0)

---

# TmP2PtRh5
Computed powder X-ray diffraction pattern, CuKα. Input: a structure optimized by DFT (PBE).
No peak broadening, texture or thermal motion is included.

Lattice parameters (Å, degrees): 4.540 4.540 6.868 90.00 90.00 90.00
Space group P4/mmm (No. 123)
Inequivalent atoms, fractional coordinates:
1 Tm 0.000 0.000 0.000 x1
2 P 0.500 0.500 0.341 x2
3 Pt 0.000 0.000 0.500 x1
4 Rh 0.000 0.500 0.280 x4
5 Rh 0.500 0.500 0.000 x1

Largest 12 diffraction maxima, sorted by position, 15 to 90 degrees two-theta:
- 19.55 deg, intensity 13.3, (1 0 0)
- 32.70 deg, intensity 17.3, (1 0 2)
- 38.38 deg, intensity 100.0, (1 1 2)
- 39.71 deg, intensity 58.9, (2 0 0)
- 52.35 deg, intensity 9.4, (2 1 2)
- 53.36 deg, intensity 7.5, (0 0 4)
- 57.14 deg, intensity 5.9, (2 0 3)
- 57.40 deg, intensity 23.7, (2 2 0)
- 68.52 deg, intensity 14.0, (2 0 4)
- 71.18 deg, intensity 32.2, (3 1 2)
- 82.21 deg, intensity 8.5, (2 2 4)
- 85.56 deg, intensity 7.8, (4 0 0)

---

# Na2LaBiP
Computed powder X-ray diffraction pattern, CuKα. Input: a structure optimized by DFT (PBE).
No peak broadening, texture or thermal motion is included.

Lattice parameters (Å, degrees): 7.131 7.131 5.974 90.00 90.00 90.00
Space group P4/mmm (No. 123)
Inequivalent atoms, fractional coordinates:
1 Na 0.000 0.500 0.000 x2
2 La 0.000 0.000 0.000 x1
3 Bi 0.000 0.000 0.500 x1
4 P 0.500 0.500 0.500 x1

Largest 12 diffraction maxima, sorted by position, 15 to 90 degrees two-theta:
- 17.59 deg, intensity 100.0, (1 1 0)
- 24.97 deg, intensity 74.7, (2 0 0)
- 27.98 deg, intensity 60.2, (2 1 0)
- 29.92 deg, intensity 23.6, (0 0 2)
- 32.50 deg, intensity 41.3, (1 0 2)
- 34.91 deg, intensity 37.0, (1 1 2)
- 35.61 deg, intensity 29.7, (2 2 0)
- 39.35 deg, intensity 45.1, (2 0 2)
- 39.98 deg, intensity 25.6, (3 1 0)
- 41.42 deg, intensity 43.3, (2 1 2)
- 47.17 deg, intensity 26.8, (2 2 2)
- 50.73 deg, intensity 26.1, (3 1 2)

---

# AlTe2Ir
Computed powder X-ray diffraction pattern, CuKα. Input: a structure optimized by DFT (PBE).
No peak broadening, texture or thermal motion is included.

Lattice parameters (Å, degrees): 3.802 3.803 6.952 90.00 90.07 90.00
Space group Pm (No. 6)
Inequivalent atoms, fractional coordinates:
1 Al 0.000 0.000 0.000 x1
2 Te 0.001 0.500 0.283 x1
3 Te 0.500 0.000 0.717 x1
4 Ir 0.500 0.500 0.000 x1

Largest 12 diffraction maxima, sorted by position, 15 to 90 degrees two-theta:
- 23.39 deg, intensity 20.8, (1 0 0)
- 26.72 deg, intensity 100.0, (1 0 1)
- 34.97 deg, intensity 21.1, (1 0 2)
- 35.81 deg, intensity 39.0, (1 1 1)
- 38.87 deg, intensity 14.2, (0 0 3)
- 42.51 deg, intensity 66.5, (1 1 -2)
- 45.86 deg, intensity 18.3, (1 0 -3)
- 47.84 deg, intensity 25.9, (2 0 0)
- 55.64 deg, intensity 26.2, (2 1 -1)
- 63.27 deg, intensity 13.6, (2 0 3)
- 68.43 deg, intensity 11.0, (2 1 -3)
- 85.44 deg, intensity 18.0, (3 1 -2)

---

# La4AgPBr2
Computed powder X-ray diffraction pattern, CuKα. Input: a structure optimized by DFT (PBE).
No peak broadening, texture or thermal motion is included.

Lattice parameters (Å, degrees): 7.542 4.307 7.682 90.00 108.65 90.00
Space group P2/m (No. 10)
Inequivalent atoms, fractional coordinates:
1 La 0.224 0.000 0.224 x2
2 La 0.235 0.500 0.760 x2
3 Ag 0.000 0.000 0.500 x1
4 P 0.000 0.500 0.000 x1
5 Br 0.500 0.000 0.000 x1
6 Br 0.500 0.500 0.500 x1

Largest 12 diffraction maxima, sorted by position, 15 to 90 degrees two-theta:
- 25.20 deg, intensity 7.2, (1 1 -1)
- 28.88 deg, intensity 100.0, (2 0 -2)
- 40.65 deg, intensity 11.8, (2 0 2)
- 41.01 deg, intensity 24.9, (1 1 -3)
- 41.60 deg, intensity 23.5, (3 1 -1)
- 41.95 deg, intensity 12.4, (0 2 0)
- 50.13 deg, intensity 6.3, (0 0 4)
- 51.13 deg, intensity 5.7, (4 0 0)
- 51.73 deg, intensity 12.9, (2 2 -2)
- 59.84 deg, intensity 11.2, (4 0 -4)
- 67.37 deg, intensity 10.2, (3 1 -5)
- 68.20 deg, intensity 9.5, (5 1 -3)